Starting from a PBE-relaxed structure, the powder diffraction line list of Hf5ScNi6 was calculated for Cu Kα (λ = 1.5418 Å).
No peak broadening, texture or thermal motion is included.

Structure:
abc: 7.7792 7.7792 4.4637
angles: 106.52 106.52 48.80
Element x y z (fractional)
Hf (0.0000, 0.0000, 0.0000)
Hf (0.1687, 0.1687, 0.6684)
Hf (0.3389, 0.3389, 0.3387)
Hf (0.6611, 0.6611, 0.6613)
Hf (0.8313, 0.8313, 0.3316)
Sc (0.5000, 0.5000, 0.0000)
Ni (0.0650, 0.5866, 0.8264)
Ni (0.2311, 0.7689, 0.5000)
Ni (0.4134, 0.9350, 0.1736)
Ni (0.5866, 0.0650, 0.8264)
Ni (0.7689, 0.2311, 0.5000)
Ni (0.9350, 0.4134, 0.1736)

Peak list (10 most intense, 10 to 90 degrees two-theta, by angle)
- 27.7°, I 14
- 28.2°, I 21
- 40.0°, I 100
- 40.2°, I 24
- 40.4°, I 25
- 57.3°, I 9
- 58.2°, I 8
- 72.5°, I 8
- 73.1°, I 8
- 73.3°, I 8


Starting from a PBE-relaxed structure, the powder diffraction line list of LaPrSbI was calculated for Cu Kα (λ = 1.5418 Å).
No peak broadening, texture or thermal motion is included.

Structure:
abc: 4.5878 4.5878 6.4246
angles: 90.00 90.00 90.00
Element x y z (fractional)
La (0.0000, 0.0000, 0.0000)
Pr (0.5000, 0.5000, 0.5000)
Sb (0.5000, 0.5000, 0.0000)
I (0.0000, 0.0000, 0.5000)

Peak list (10 most intense, 10 to 90 degrees two-theta, by angle)
- 27.5°, I 100
- 27.8°, I 49
- 39.3°, I 38
- 39.5°, I 76
- 48.8°, I 41
- 56.8°, I 13
- 64.2°, I 18
- 64.3°, I 18
- 64.8°, I 17
- 71.3°, I 26


Starting from a PBE-relaxed structure, the powder diffraction line list of YAgBr was calculated for Cu Kα (λ = 1.5418 Å).
No peak broadening, texture or thermal motion is included.

Structure:
abc: 10.7919 10.7919 10.7919
angles: 24.11 24.11 24.11
Element x y z (fractional)
Y (0.0000, 0.0000, 0.0000)
Y (0.1166, 0.1166, 0.1166)
Ag (0.3917, 0.3917, 0.3917)
Ag (0.7250, 0.7250, 0.7250)
Br (0.6139, 0.6139, 0.6139)
Br (0.8362, 0.8362, 0.8362)

Peak list (10 most intense, 10 to 90 degrees two-theta, by angle)
- 25.5°, I 34
- 26.9°, I 22
- 30.3°, I 52
- 32.3°, I 76
- 36.7°, I 48
- 39.1°, I 19
- 40.0°, I 100
- 41.0°, I 29
- 52.4°, I 33
- 67.9°, I 55


Starting from a PBE-relaxed structure, the powder diffraction line list of Cu5PtCl12 was calculated for Cu Kα (λ = 1.5418 Å).
No peak broadening, texture or thermal motion is included.

Structure:
abc: 6.3540 6.3540 12.5196
angles: 97.26 97.26 103.51
Element x y z (fractional)
Cu (0.0000, 0.0000, 0.0000)
Cu (0.1608, 0.8392, 0.5000)
Cu (0.3334, 0.6666, 0.0000)
Cu (0.6666, 0.3334, 0.0000)
Cu (0.8392, 0.1608, 0.5000)
Pt (0.5000, 0.5000, 0.5000)
Cl (0.0352, 0.7016, 0.8882)
Cl (0.1762, 0.1762, 0.4487)
Cl (0.2984, 0.9648, 0.1118)
Cl (0.3236, 0.6649, 0.6285)
Cl (0.3351, 0.6764, 0.3715)
Cl (0.3606, 0.3606, 0.8913)
Cl (0.6394, 0.6394, 0.1087)
Cl (0.6649, 0.3236, 0.6285)
Cl (0.6764, 0.3351, 0.3715)
Cl (0.7016, 0.0352, 0.8882)
Cl (0.8238, 0.8238, 0.5513)
Cl (0.9648, 0.2984, 0.1118)

Peak list (10 most intense, 10 to 90 degrees two-theta, by angle)
- 14.5°, I 100
- 15.1°, I 10
- 23.1°, I 29
- 24.7°, I 28
- 30.7°, I 10
- 35.2°, I 20
- 38.2°, I 25
- 44.0°, I 9
- 45.5°, I 18
- 46.5°, I 14


Starting from a PBE-relaxed structure, the powder diffraction line list of Sr2AlAg was calculated for Cu Kα (λ = 1.5418 Å).
No peak broadening, texture or thermal motion is included.

Structure:
abc: 6.2799 4.6835 9.3394
angles: 90.00 105.15 90.00
Element x y z (fractional)
Sr (0.2143, 0.2500, 0.4271)
Sr (0.2843, 0.7500, 0.0707)
Sr (0.7157, 0.2500, 0.9293)
Sr (0.7857, 0.7500, 0.5729)
Al (0.1646, 0.2500, 0.7776)
Al (0.8354, 0.7500, 0.2224)
Ag (0.3314, 0.7500, 0.7222)
Ag (0.6686, 0.2500, 0.2778)

Peak list (10 most intense, 10 to 90 degrees two-theta, by angle)
- 21.4°, I 19
- 27.5°, I 100
- 29.5°, I 64
- 35.3°, I 57
- 36.5°, I 31
- 36.7°, I 33
- 38.4°, I 29
- 49.2°, I 30
- 52.8°, I 21
- 54.2°, I 21


Starting from a PBE-relaxed structure, the powder diffraction line list of Ac3TlO was calculated for Cu Kα (λ = 1.5418 Å).
No peak broadening, texture or thermal motion is included.

Structure:
abc: 9.0495 9.0495 4.0474
angles: 90.00 90.00 108.23
Element x y z (fractional)
Ac (0.1696, 0.4333, 0.5000)
Ac (0.1973, 0.8027, 0.0000)
Ac (0.4333, 0.1696, 0.5000)
Ac (0.5667, 0.8304, 0.5000)
Ac (0.8027, 0.1973, 0.0000)
Ac (0.8304, 0.5667, 0.5000)
Tl (0.0000, 0.0000, 0.5000)
Tl (0.5000, 0.5000, 0.0000)
O (0.0000, 0.5000, 0.0000)
O (0.5000, 0.0000, 0.0000)

Peak list (10 most intense, 10 to 90 degrees two-theta, by angle)
- 25.9°, I 29
- 27.7°, I 76
- 29.6°, I 71
- 29.9°, I 100
- 31.2°, I 41
- 33.0°, I 40
- 34.2°, I 40
- 52.1°, I 48
- 54.6°, I 27
- 55.8°, I 40


Starting from a PBE-relaxed structure, the powder diffraction line list of Sc7C2Cl10 was calculated for Cu Kα (λ = 1.5418 Å).
No peak broadening, texture or thermal motion is included.

Structure:
abc: 9.7008 9.7008 12.1762
angles: 100.16 100.16 20.86
Element x y z (fractional)
Sc (0.0000, 0.0000, 0.0000)
Sc (0.1827, 0.1827, 0.5095)
Sc (0.3035, 0.3035, 0.7169)
Sc (0.3377, 0.3377, 0.2698)
Sc (0.6623, 0.6623, 0.7302)
Sc (0.6965, 0.6965, 0.2831)
Sc (0.8173, 0.8173, 0.4905)
C (0.2578, 0.2578, 0.3768)
C (0.7422, 0.7422, 0.6232)
Cl (0.0785, 0.0785, 0.6323)
Cl (0.1172, 0.1172, 0.1433)
Cl (0.2209, 0.2209, 0.8684)
Cl (0.4029, 0.4029, 0.6069)
Cl (0.4479, 0.4479, 0.1119)
Cl (0.5521, 0.5521, 0.8881)
Cl (0.5971, 0.5971, 0.3931)
Cl (0.7791, 0.7791, 0.1316)
Cl (0.8828, 0.8828, 0.8567)
Cl (0.9215, 0.9215, 0.3677)

Peak list (10 most intense, 10 to 90 degrees two-theta, by angle)
- 13.0°, I 34
- 29.4°, I 24
- 34.0°, I 100
- 35.3°, I 25
- 36.4°, I 30
- 37.7°, I 46
- 38.6°, I 37
- 50.3°, I 33
- 52.1°, I 40
- 52.5°, I 26


Starting from a PBE-relaxed structure, the powder diffraction line list of Tb7PrSc3 was calculated for Cu Kα (λ = 1.5418 Å).
No peak broadening, texture or thermal motion is included.

Structure:
abc: 7.0036 7.0036 8.2715
angles: 90.00 90.00 120.00
Element x y z (fractional)
Tb (0.0000, 0.0000, 0.0000)
Tb (0.1656, 0.3311, 0.6549)
Tb (0.1656, 0.8344, 0.6549)
Tb (0.5007, 0.0013, 0.0148)
Tb (0.5007, 0.4993, 0.0148)
Tb (0.6689, 0.8344, 0.6549)
Tb (0.9987, 0.4993, 0.0148)
Pr (0.6667, 0.3333, 0.6719)
Sc (0.3306, 0.1653, 0.3330)
Sc (0.8347, 0.1653, 0.3330)
Sc (0.8347, 0.6694, 0.3330)

Peak list (10 most intense, 10 to 90 degrees two-theta, by angle)
- 10.7°, I 31
- 21.5°, I 14
- 29.5°, I 13
- 31.4°, I 100
- 32.5°, I 25
- 36.7°, I 59
- 52.2°, I 21
- 53.6°, I 23
- 62.2°, I 14
- 62.9°, I 22


Starting from a PBE-relaxed structure, the powder diffraction line list of TiBeFeSi was calculated for Cu Kα (λ = 1.5418 Å).
No peak broadening, texture or thermal motion is included.

Structure:
abc: 3.9901 3.9901 3.9901
angles: 60.00 60.00 60.00
Element x y z (fractional)
Ti (0.0000, 0.0000, 0.0000)
Be (0.2500, 0.2500, 0.2500)
Fe (0.7500, 0.7500, 0.7500)
Si (0.5000, 0.5000, 0.5000)

Peak list (7 most intense, 10 to 90 degrees two-theta, by angle)
- 27.4°, I 45
- 31.7°, I 1
- 45.5°, I 100
- 53.9°, I 18
- 66.3°, I 15
- 73.1°, I 7
- 84.0°, I 30


Starting from a PBE-relaxed structure, the powder diffraction line list of LiTmMg2Ag4 was calculated for Cu Kα (λ = 1.5418 Å).
No peak broadening, texture or thermal motion is included.

Structure:
abc: 8.3053 8.3053 8.3053
angles: 33.40 33.40 33.40
Element x y z (fractional)
Li (0.0000, 0.0000, 0.0000)
Tm (0.5000, 0.5000, 0.5000)
Mg (0.2520, 0.2520, 0.2520)
Mg (0.7480, 0.7480, 0.7480)
Ag (0.1157, 0.1157, 0.1157)
Ag (0.3722, 0.3722, 0.3722)
Ag (0.6278, 0.6278, 0.6278)
Ag (0.8843, 0.8843, 0.8843)

Peak list (10 most intense, 10 to 90 degrees two-theta, by angle)
- 11.3°, I 19
- 21.8°, I 20
- 22.8°, I 15
- 26.4°, I 28
- 28.8°, I 22
- 34.4°, I 19
- 37.6°, I 93
- 37.7°, I 100
- 54.3°, I 31
- 68.0°, I 47


Starting from a PBE-relaxed structure, the powder diffraction line list of Nd5AlTl3 was calculated for Cu Kα (λ = 1.5418 Å).
No peak broadening, texture or thermal motion is included.

Structure:
abc: 9.6333 9.6333 6.7136
angles: 90.00 90.00 120.00
Element x y z (fractional)
Nd (0.0000, 0.2767, 0.2500)
Nd (0.0000, 0.7233, 0.7500)
Nd (0.2767, 0.0000, 0.2500)
Nd (0.2767, 0.2767, 0.7500)
Nd (0.3333, 0.6667, 0.0000)
Nd (0.3333, 0.6667, 0.5000)
Nd (0.6667, 0.3333, 0.0000)
Nd (0.6667, 0.3333, 0.5000)
Nd (0.7233, 0.0000, 0.7500)
Nd (0.7233, 0.7233, 0.2500)
Al (0.0000, 0.0000, 0.0000)
Al (0.0000, 0.0000, 0.5000)
Tl (0.0000, 0.3744, 0.7500)
Tl (0.0000, 0.6256, 0.2500)
Tl (0.3744, 0.0000, 0.7500)
Tl (0.3744, 0.3744, 0.2500)
Tl (0.6256, 0.0000, 0.2500)
Tl (0.6256, 0.6256, 0.7500)

Peak list (10 most intense, 10 to 90 degrees two-theta, by angle)
- 26.6°, I 23
- 31.3°, I 63
- 32.2°, I 98
- 32.5°, I 100
- 41.3°, I 21
- 46.4°, I 28
- 50.0°, I 17
- 57.6°, I 18
- 60.3°, I 18
- 64.9°, I 26


Starting from a PBE-relaxed structure, the powder diffraction line list of Ho4CNO2 was calculated for Cu Kα (λ = 1.5418 Å).
No peak broadening, texture or thermal motion is included.

Structure:
abc: 5.9624 5.9624 5.9624
angles: 131.57 131.57 70.91
Element x y z (fractional)
Ho (0.0000, 0.5000, 0.5000)
Ho (0.2489, 0.2489, 0.0000)
Ho (0.5000, 0.0000, 0.5000)
Ho (0.7511, 0.7511, 0.0000)
C (0.5000, 0.5000, 0.0000)
N (0.0000, 0.0000, 0.0000)
O (0.2500, 0.7500, 0.5000)
O (0.7500, 0.2500, 0.5000)

Peak list (10 most intense, 10 to 90 degrees two-theta, by angle)
- 31.8°, I 100
- 36.7°, I 49
- 37.0°, I 24
- 52.9°, I 17
- 53.2°, I 33
- 63.1°, I 30
- 63.4°, I 15
- 66.4°, I 17
- 87.2°, I 13
- 89.6°, I 8


Starting from a PBE-relaxed structure, the powder diffraction line list of Ni4B3 was calculated for Cu Kα (λ = 1.5418 Å).
No peak broadening, texture or thermal motion is included.

Structure:
abc: 4.0191 4.0191 7.8386
angles: 99.55 99.55 75.06
Element x y z (fractional)
Ni (0.2024, 0.7071, 0.5083)
Ni (0.2216, 0.3653, 0.2103)
Ni (0.2929, 0.7976, 0.9917)
Ni (0.3653, 0.2216, 0.7103)
Ni (0.6347, 0.7784, 0.2897)
Ni (0.7071, 0.2024, 0.0083)
Ni (0.7784, 0.6347, 0.7897)
Ni (0.7976, 0.2929, 0.4917)
B (0.0788, 0.9212, 0.2500)
B (0.1557, 0.3117, 0.9404)
B (0.3117, 0.1557, 0.4404)
B (0.6883, 0.8443, 0.5596)
B (0.8443, 0.6883, 0.0596)
B (0.9212, 0.0788, 0.7500)

Peak list (10 most intense, 10 to 90 degrees two-theta, by angle)
- 30.7°, I 32
- 33.0°, I 61
- 38.6°, I 29
- 39.7°, I 37
- 41.0°, I 83
- 43.9°, I 100
- 46.7°, I 51
- 47.2°, I 79
- 47.5°, I 58
- 50.4°, I 46